Record 1
Diffraction record for Zr2Si3Ni5. The XRD peak list is computed, not measured: it uses a DFT-relaxed cell (PBE, Alexandria) and Cu Ka.
Neutral-atom scattering factors, no anomalous dispersion.

Cell and atoms:
```
data_Zr2Si3Ni5
_chemical_formula_sum 'Zr8 Si12 Ni20'
_cell_length_a 3.859
_cell_length_b 22.383
_cell_length_c 6.253
_cell_angle_alpha 90.00
_cell_angle_beta 90.00
_cell_angle_gamma 90.00
_space_group_name_H-M_alt 'C m c 21'
_space_group_IT_number 36
_space_group_name_Hall 'C 2c -2'
loop_
_atom_site_label
_atom_site_fract_x
_atom_site_fract_y
_atom_site_fract_z
Zr1 0.000 0.023 0.000
Zr2 0.000 0.324 0.028
Si1 0.000 0.122 0.242
Si2 0.000 0.274 0.571
Si3 0.000 0.452 0.209
Ni1 0.000 0.096 0.616
Ni2 0.000 0.198 0.859
Ni3 0.000 0.224 0.264
Ni4 0.000 0.377 0.491
Ni5 0.000 0.441 0.834
```

The 10 most intense peaks (2θ from 10° to 90°), by angle:
2θ/deg, d/Å, Rel. int., hkl
37.5, 2.396, 18, 0 6 2
39.0, 2.310, 100, 1 3 2
39.3, 2.291, 100, 1 7 1
42.3, 2.135, 30, 1 5 2
42.9, 2.107, 35, 0 10 1
43.3, 2.090, 24, 1 9 0
46.5, 1.953, 24, 0 4 3
47.1, 1.930, 48, 2 0 0
65.6, 1.423, 32, 2 10 1
75.8, 1.255, 15, 1 13 3

=====

Record 2
Diffraction record for Zr6Si7Ni16. The XRD peak list is computed, not measured: it uses a DFT-relaxed cell (PBE, Alexandria) and Cu Ka.
Neutral-atom scattering factors, no anomalous dispersion.

Cell and atoms:
```
data_Zr6Si7Ni16
_chemical_formula_sum 'Zr24 Si28 Ni64'
_cell_length_a 11.489
_cell_length_b 11.489
_cell_length_c 11.489
_cell_angle_alpha 90.00
_cell_angle_beta 90.00
_cell_angle_gamma 90.00
_space_group_name_H-M_alt 'F m -3 m'
_space_group_IT_number 225
_space_group_name_Hall '-F 4 2 3'
loop_
_atom_site_label
_atom_site_fract_x
_atom_site_fract_y
_atom_site_fract_z
Zr1 0.000 0.000 0.207
Si1 0.000 0.000 0.500
Si2 0.000 0.250 0.250
Ni1 0.118 0.118 0.382
Ni2 0.169 0.169 0.169
```

The 10 most intense peaks (2θ from 10° to 90°), by angle:
2θ/deg, d/Å, Rel. int., hkl
26.9, 3.316, 23, 2 2 2
38.4, 2.345, 24, 4 2 2
40.8, 2.211, 100, 3 3 3
44.6, 2.031, 96, 4 4 0
46.8, 1.942, 18, 5 3 1
47.5, 1.915, 16, 6 0 0
69.4, 1.354, 19, 6 6 0
71.1, 1.327, 13, 5 5 5
83.8, 1.155, 18, 9 3 3
87.9, 1.111, 14, 7 7 3